Simulated powder diffractogram
Compound: ZrGeRu
Radiation: Cu Kα X-rays
Structure: a DFT-relaxed cell (GGA-PBE, the Materials Project)
Kinematic intensities with the Lorentz-polarization factor, no thermal factor.

Principal peaks in the range 2θ = 15–90°, by intensity:
| two_theta | I (rel.) |
| --- | --- |
| 35.6 | 100 |
| 38.8 | 72 |
| 40.6 | 43 |
| 38.9 | 31 |
| 48.3 | 29 |
| 40.4 | 24 |
| 47.5 | 20 |
| 46.1 | 17 |
| 64.9 | 16 |
| 74.7 | 14 |

Cell lengths 7.770, 7.770, 7.770 Å; angles 121.98, 81.74, 127.88 degrees
Sites, in units of the cell vectors:
1 Zr 0.002 0.250 0.252
2 Zr 0.138 0.108 0.530
3 Zr 0.186 0.633 0.053
4 Zr 0.577 0.608 0.470
5 Zr 0.580 0.133 0.947
6 Zr 0.998 0.750 0.748
7 Ge 0.249 0.076 0.162
8 Ge 0.249 0.586 0.672
9 Ge 0.563 0.339 0.725
10 Ge 0.614 0.839 0.275
11 Ge 0.914 0.086 0.838
12 Ge 0.914 0.576 0.328
13 Ru 0.339 0.339 0.000
14 Ru 0.339 0.839 0.500
15 Ru 0.583 0.178 0.349
16 Ru 0.583 0.734 0.905
17 Ru 0.829 0.234 0.651
18 Ru 0.829 0.678 0.095



Simulated powder diffractogram
Compound: Ce5Mg
Radiation: Cu Kα X-rays
Structure: a DFT-relaxed cell (GGA-PBE, the Materials Project)
Kinematic intensities with the Lorentz-polarization factor, no thermal factor.

Principal peaks in the range 2θ = 15–90°, by intensity:
| two_theta | I (rel.) |
| --- | --- |
| 33.9 | 100 |
| 30.1 | 59 |
| 33.7 | 38 |
| 55.9 | 35 |
| 62.6 | 23 |
| 30.2 | 18 |
| 62.9 | 15 |
| 53.5 | 15 |
| 43.2 | 13 |
| 88.9 | 13 |

Cell lengths 5.933, 9.075, 9.075 Å; angles 21.66, 90.00, 90.00 degrees
Sites, in units of the cell vectors:
1 Ce 0.000 0.000 0.000
2 Ce 0.000 0.323 0.323
3 Ce 0.000 0.662 0.662
4 Ce 0.500 0.536 0.536
5 Ce 0.500 0.884 0.884
6 Mg 0.500 0.213 0.213